1.
For Ba6Cd2Ga, a cell relaxed with PBE gives the computed PXRD pattern in this record (CuKα).
No peak broadening, texture or thermal motion is included.

Crystal structure
abc: 6.0325 15.1782 18.0828
angles: 90.00 90.00 90.00
Space group Fmmm (No. 69)
Inequivalent atoms, fractional coordinates:
1 Ba 0.0000 0.1275 0.0000 (multiplicity 8)
2 Ba 0.0000 0.1314 0.3380 (multiplicity 16)
3 Cd 0.0000 0.0000 0.1705 (multiplicity 8)
4 Ga 0.0000 0.0000 0.5000 (multiplicity 4)

Main lines, sorted by position (15 to 90 degrees two-theta):
2θ 21.6, 4.105 Å, I 12; 2θ 27.4, 3.260 Å, I 100; 2θ 29.6, 3.015 Å, I 58; 2θ 36.3, 2.473 Å, I 33; 2θ 38.1, 2.361 Å, I 11; 2θ 42.4, 2.132 Å, I 21; 2θ 51.2, 1.784 Å, I 34; 2θ 57.4, 1.606 Å, I 17



2.
For Ba2CdGa10, a cell relaxed with PBE gives the computed PXRD pattern in this record (CuKα).
No peak broadening, texture or thermal motion is included.

Crystal structure
abc: 6.1044 6.6617 15.4790
angles: 90.00 102.43 90.00
Space group P2_1/c (No. 14)
Inequivalent atoms, fractional coordinates:
1 Ba 0.0938 0.1366 0.1451 (multiplicity 4)
2 Cd 0.5000 0.0000 0.0000 (multiplicity 2)
3 Ga 0.0776 0.1506 0.3899 (multiplicity 4)
4 Ga 0.2642 0.6152 0.0313 (multiplicity 4)
5 Ga 0.3092 0.6480 0.2308 (multiplicity 4)
6 Ga 0.3953 0.1608 0.8372 (multiplicity 4)
7 Ga 0.4096 0.5860 0.8646 (multiplicity 4)

Main lines, sorted by position (15 to 90 degrees two-theta):
2θ 28.8, 3.095 Å, I 40; 2θ 31.9, 2.801 Å, I 100; 2θ 32.3, 2.775 Å, I 42; 2θ 33.1, 2.710 Å, I 33; 2θ 33.5, 2.674 Å, I 55; 2θ 33.9, 2.641 Å, I 44; 2θ 34.1, 2.632 Å, I 37; 2θ 40.7, 2.215 Å, I 58



3.
For BaCdGa2, a cell relaxed with PBE gives the computed PXRD pattern in this record (CuKα).
No peak broadening, texture or thermal motion is included.

Crystal structure
abc: 15.6480 4.6109 12.1259
angles: 90.00 90.00 90.00
Space group Pnma (No. 62)
Inequivalent atoms, fractional coordinates:
1 Ba 0.0551 0.2500 0.2486 (multiplicity 4)
2 Ba 0.2028 0.7500 0.5165 (multiplicity 4)
3 Cd 0.0580 0.2500 0.9407 (multiplicity 4)
4 Cd 0.1915 0.7500 0.8186 (multiplicity 4)
5 Ga 0.0214 0.2500 0.5394 (multiplicity 4)
6 Ga 0.1125 0.2500 0.7165 (multiplicity 4)
7 Ga 0.1289 0.7500 0.0415 (multiplicity 4)
8 Ga 0.2218 0.7500 0.2249 (multiplicity 4)

Main lines, sorted by position (15 to 90 degrees two-theta):
2θ 29.4, 3.033 Å, I 36; 2θ 30.0, 2.983 Å, I 100; 2θ 31.6, 2.833 Å, I 29; 2θ 36.3, 2.475 Å, I 18; 2θ 39.1, 2.305 Å, I 30; 2θ 41.2, 2.191 Å, I 14; 2θ 42.5, 2.126 Å, I 19; 2θ 58.1, 1.588 Å, I 20



4.
For Ba3CdGa3, a cell relaxed with PBE gives the computed PXRD pattern in this record (CuKα).
No peak broadening, texture or thermal motion is included.

Crystal structure
abc: 11.6478 5.2230 16.0398
angles: 90.00 107.88 90.00
Space group C2/m (No. 12)
Inequivalent atoms, fractional coordinates:
1 Ba 0.0221 0.0000 0.2656 (multiplicity 4)
2 Ba 0.1636 0.5000 0.1187 (multiplicity 4)
3 Ba 0.1880 0.0000 0.5718 (multiplicity 4)
4 Cd 0.1498 0.5000 0.8975 (multiplicity 4)
5 Ga 0.0064 0.5000 0.4208 (multiplicity 4)
6 Ga 0.0880 0.0000 0.9654 (multiplicity 4)
7 Ga 0.1736 0.5000 0.7214 (multiplicity 4)

Main lines, sorted by position (15 to 90 degrees two-theta):
2θ 27.4, 3.256 Å, I 64; 2θ 28.1, 3.179 Å, I 100; 2θ 28.7, 3.111 Å, I 73; 2θ 29.0, 3.082 Å, I 44; 2θ 34.3, 2.612 Å, I 77; 2θ 34.6, 2.591 Å, I 36; 2θ 36.2, 2.479 Å, I 52; 2θ 47.4, 1.919 Å, I 27